# 1
For Pr2HoTm5Th, a cell relaxed with PBE gives the calculated powder diffraction line list in this record (Cu Kα (λ = 1.5418 Å)).
Lines closer than 0.1° are merged.

Top 10 peaks for 5° ≤ 2θ ≤ 70°, sorted by position:
Position (°2θ)	Rel. int.
28.90	365
29.16	550
31.13	1000
32.69	135
37.90	126
40.96	102
43.44	187
47.36	104
52.95	266
56.59	127

Atomic structure:
```
data_Pr2HoTm5Th
_space_group_name_H-M_alt 'P 1'
_space_group_IT_number 1
_cell_length_a 9.8217
_cell_length_b 9.8217
_cell_length_c 9.8217
_cell_angle_alpha 127.67
_cell_angle_beta 127.67
_cell_angle_gamma 77.17
loop_
_space_group_symop_operation_xyz
'x,y,z'
loop_
_atom_site_label
_atom_site_fract_x
_atom_site_fract_y
_atom_site_fract_z
_atom_site_occupancy
Pr1 0.1168 0.6168 0.7337 1
Pr2 0.3832 0.1168 0.5000 1
Pr3 0.6168 0.8832 0.5000 1
Pr4 0.8832 0.3832 0.2663 1
Ho1 0.2500 0.7500 0.5000 1
Ho2 0.7500 0.2500 0.5000 1
Tm1 0.0000 0.0000 0.0000 1
Tm2 0.0733 0.1454 0.5000 1
Tm3 0.1454 0.6454 0.0721 1
Tm4 0.3546 0.4267 0.5000 1
Tm5 0.4267 0.9267 0.0721 1
Tm6 0.5000 0.5000 0.0000 1
Tm7 0.5733 0.0733 0.9279 1
Tm8 0.6454 0.5733 0.5000 1
Tm9 0.8546 0.3546 0.9279 1
Tm10 0.9267 0.8546 0.5000 1
Th1 0.2500 0.2500 0.0000 1
Th2 0.7500 0.7500 0.0000 1
```

# 2
For PrHo6Tm3Th2, a cell relaxed with PBE gives the calculated powder diffraction line list in this record (Cu Kα (λ = 1.5418 Å)).
Lines closer than 0.1° are merged.

Top 10 peaks for 5° ≤ 2θ ≤ 70°, sorted by position:
Position (°2θ)	Rel. int.
30.85	1000
31.08	327
35.84	672
51.44	242
51.74	238
61.15	48
61.26	192
61.34	191
61.60	142
64.28	124

Atomic structure:
```
data_PrHo6Tm3Th2
_space_group_name_H-M_alt 'P 1'
_space_group_IT_number 1
_cell_length_a 6.1514
_cell_length_b 6.1514
_cell_length_c 11.6914
_cell_angle_alpha 95.05
_cell_angle_beta 95.05
_cell_angle_gamma 119.93
loop_
_space_group_symop_operation_xyz
'x,y,z'
loop_
_atom_site_label
_atom_site_fract_x
_atom_site_fract_y
_atom_site_fract_z
_atom_site_occupancy
Pr1 0.0000 0.0000 0.0000 1
Ho1 0.0848 0.4227 0.2507 1
Ho2 0.2534 0.2534 0.7493 1
Ho3 0.4227 0.0848 0.2507 1
Ho4 0.5773 0.9152 0.7492 1
Ho5 0.7466 0.7466 0.2507 1
Ho6 0.9152 0.5773 0.7492 1
Tm1 0.1664 0.8336 0.5000 1
Tm2 0.5000 0.5000 0.5000 1
Tm3 0.8336 0.1664 0.5000 1
Th1 0.3332 0.6668 0.0000 1
Th2 0.6668 0.3332 0.0000 1
```

# 3
For Pr5YHo2Th, a cell relaxed with PBE gives the calculated powder diffraction line list in this record (Cu Kα (λ = 1.5418 Å)).
Lines closer than 0.1° are merged.

Top 10 peaks for 5° ≤ 2θ ≤ 70°, sorted by position:
Position (°2θ)	Rel. int.
26.39	141
30.29	195
31.14	1000
32.48	117
32.83	392
33.61	191
47.70	197
57.57	176
58.57	93
60.23	109

Atomic structure:
```
data_Pr5YHo2Th
_space_group_name_H-M_alt 'P 1'
_space_group_IT_number 1
_cell_length_a 11.2482
_cell_length_b 11.2482
_cell_length_c 10.6659
_cell_angle_alpha 90.00
_cell_angle_beta 90.00
_cell_angle_gamma 151.93
loop_
_space_group_symop_operation_xyz
'x,y,z'
loop_
_atom_site_label
_atom_site_fract_x
_atom_site_fract_y
_atom_site_fract_z
_atom_site_occupancy
Pr1 0.0000 0.0000 0.0000 1
Pr2 0.0000 0.0000 0.5000 1
Pr3 0.1258 0.8742 0.7500 1
Pr4 0.2223 0.7777 0.0571 1
Pr5 0.2223 0.7777 0.4429 1
Pr6 0.4972 0.5028 0.2500 1
Pr7 0.5028 0.4972 0.7500 1
Pr8 0.7777 0.2223 0.5571 1
Pr9 0.7777 0.2223 0.9429 1
Pr10 0.8742 0.1258 0.2500 1
Y1 0.1019 0.8981 0.2500 1
Y2 0.8981 0.1019 0.7500 1
Ho1 0.3871 0.6129 0.5055 1
Ho2 0.3871 0.6129 0.9945 1
Ho3 0.6129 0.3871 0.0055 1
Ho4 0.6129 0.3871 0.4945 1
Th1 0.2869 0.7131 0.7500 1
Th2 0.7131 0.2869 0.2500 1
```

# 4
For Pr5Y2HoTh, a cell relaxed with PBE gives the calculated powder diffraction line list in this record (Cu Kα (λ = 1.5418 Å)).
Lines closer than 0.1° are merged.

Top 10 peaks for 5° ≤ 2θ ≤ 70°, sorted by position:
Position (°2θ)	Rel. int.
11.59	93
26.36	111
30.26	191
31.11	1000
32.45	160
32.78	378
33.59	185
47.64	184
57.48	175
60.14	96

Atomic structure:
```
data_Pr5Y2HoTh
_space_group_name_H-M_alt 'P 1'
_space_group_IT_number 1
_cell_length_a 11.2631
_cell_length_b 11.2631
_cell_length_c 10.6722
_cell_angle_alpha 90.00
_cell_angle_beta 90.00
_cell_angle_gamma 151.93
loop_
_space_group_symop_operation_xyz
'x,y,z'
loop_
_atom_site_label
_atom_site_fract_x
_atom_site_fract_y
_atom_site_fract_z
_atom_site_occupancy
Pr1 0.0000 0.0000 0.0000 1
Pr2 0.0000 0.0000 0.5000 1
Pr3 0.1254 0.8746 0.7500 1
Pr4 0.2220 0.7780 0.0574 1
Pr5 0.2220 0.7780 0.4426 1
Pr6 0.4983 0.5017 0.2500 1
Pr7 0.5017 0.4983 0.7500 1
Pr8 0.7780 0.2220 0.5574 1
Pr9 0.7780 0.2220 0.9426 1
Pr10 0.8746 0.1254 0.2500 1
Y1 0.3870 0.6130 0.5041 1
Y2 0.3870 0.6130 0.9959 1
Y3 0.6130 0.3870 0.0041 1
Y4 0.6130 0.3870 0.4959 1
Ho1 0.1022 0.8978 0.2500 1
Ho2 0.8978 0.1022 0.7500 1
Th1 0.2867 0.7133 0.7500 1
Th2 0.7133 0.2867 0.2500 1
```

# 5
For Pr2Y4Ho2Th, a cell relaxed with PBE gives the calculated powder diffraction line list in this record (Cu Kα (λ = 1.5418 Å)).
Lines closer than 0.1° are merged.

Top 10 peaks for 5° ≤ 2θ ≤ 70°, sorted by position:
Position (°2θ)	Rel. int.
28.62	484
31.03	475
31.65	1000
33.34	894
39.96	185
50.31	367
54.47	208
57.77	189
60.29	424
60.66	154

Atomic structure:
```
data_Pr2Y4Ho2Th
_space_group_name_H-M_alt 'P 1'
_space_group_IT_number 1
_cell_length_a 9.6043
_cell_length_b 9.6043
_cell_length_c 9.6082
_cell_angle_alpha 115.34
_cell_angle_beta 115.34
_cell_angle_gamma 21.75
loop_
_space_group_symop_operation_xyz
'x,y,z'
loop_
_atom_site_label
_atom_site_fract_x
_atom_site_fract_y
_atom_site_fract_z
_atom_site_occupancy
Pr1 0.1637 0.1637 0.0003 1
Pr2 0.8363 0.8363 0.9997 1
Y1 0.0184 0.0184 0.3308 1
Y2 0.3152 0.3152 0.6658 1
Y3 0.6848 0.6848 0.3342 1
Y4 0.9816 0.9816 0.6692 1
Ho1 0.3526 0.3526 0.3378 1
Ho2 0.6474 0.6474 0.6622 1
Th1 0.5000 0.5000 0.0000 1
```

# 6
For Pr6YHo2Th, a cell relaxed with PBE gives the calculated powder diffraction line list in this record (Cu Kα (λ = 1.5418 Å)).
Lines closer than 0.1° are merged.

Top 10 peaks for 5° ≤ 2θ ≤ 70°, sorted by position:
Position (°2θ)	Rel. int.
27.19	274
28.10	657
29.55	606
29.93	647
30.80	870
30.96	1000
31.93	411
32.46	264
33.02	322
37.27	227

Atomic structure:
```
data_Pr6YHo2Th
_space_group_name_H-M_alt 'P 1'
_space_group_IT_number 1
_cell_length_a 8.9295
_cell_length_b 8.9295
_cell_length_c 9.8424
_cell_angle_alpha 94.38
_cell_angle_beta 94.38
_cell_angle_gamma 116.53
loop_
_space_group_symop_operation_xyz
'x,y,z'
loop_
_atom_site_label
_atom_site_fract_x
_atom_site_fract_y
_atom_site_fract_z
_atom_site_occupancy
Pr1 0.0103 0.5742 0.1864 1
Pr2 0.1077 0.7598 0.5571 1
Pr3 0.2402 0.8923 0.9429 1
Pr4 0.2987 0.5113 0.3804 1
Pr5 0.4258 0.9897 0.3136 1
Pr6 0.4887 0.7013 0.1196 1
Pr7 0.5113 0.2987 0.8804 1
Pr8 0.5742 0.0103 0.6864 1
Pr9 0.7013 0.4887 0.6196 1
Pr10 0.7598 0.1077 0.0571 1
Pr11 0.8923 0.2402 0.4429 1
Pr12 0.9897 0.4258 0.8136 1
Y1 0.4076 0.5924 0.7500 1
Y2 0.5924 0.4076 0.2500 1
Ho1 0.1992 0.2884 0.0500 1
Ho2 0.2884 0.1992 0.5500 1
Ho3 0.7116 0.8008 0.4500 1
Ho4 0.8008 0.7116 0.9500 1
Th1 0.0293 0.9707 0.2500 1
Th2 0.9707 0.0293 0.7500 1
```

# 7
For Pr3Ho6Tl, a cell relaxed with PBE gives the calculated powder diffraction line list in this record (Cu Kα (λ = 1.5418 Å)).
Lines closer than 0.1° are merged.

Top 10 peaks for 5° ≤ 2θ ≤ 70°, sorted by position:
Position (°2θ)	Rel. int.
31.70	806
32.14	1000
32.45	854
33.58	300
35.18	175
49.10	200
50.98	199
59.49	213
61.55	175
61.75	194

Atomic structure:
```
data_Pr3Ho6Tl
_space_group_name_H-M_alt 'P 1'
_space_group_IT_number 1
_cell_length_a 13.0188
_cell_length_b 3.5829
_cell_length_c 14.5588
_cell_angle_alpha 90.00
_cell_angle_beta 108.75
_cell_angle_gamma 90.00
loop_
_space_group_symop_operation_xyz
'x,y,z'
loop_
_atom_site_label
_atom_site_fract_x
_atom_site_fract_y
_atom_site_fract_z
_atom_site_occupancy
Pr1 0.0098 0.2500 0.3955 1
Pr2 0.3773 0.2500 0.0014 1
Pr3 0.4661 0.2500 0.5926 1
Pr4 0.5339 0.7500 0.4074 1
Pr5 0.6227 0.7500 0.9986 1
Pr6 0.9902 0.7500 0.6045 1
Ho1 0.1366 0.7500 0.0230 1
Ho2 0.1441 0.2500 0.8114 1
Ho3 0.2168 0.2500 0.6001 1
Ho4 0.2508 0.7500 0.3936 1
Ho5 0.3297 0.2500 0.2186 1
Ho6 0.3821 0.7500 0.7896 1
Ho7 0.6179 0.2500 0.2104 1
Ho8 0.6703 0.7500 0.7814 1
Ho9 0.7492 0.2500 0.6064 1
Ho10 0.7832 0.7500 0.3999 1
Ho11 0.8559 0.7500 0.1886 1
Ho12 0.8634 0.2500 0.9770 1
Tl1 0.0759 0.2500 0.1913 1
Tl2 0.9241 0.7500 0.8087 1
```

# 8
For Pr5Ho4Tl2, a cell relaxed with PBE gives the calculated powder diffraction line list in this record (Cu Kα (λ = 1.5418 Å)).
Lines closer than 0.1° are merged.

Top 10 peaks for 5° ≤ 2θ ≤ 70°, sorted by position:
Position (°2θ)	Rel. int.
9.91	345
30.08	741
30.74	348
31.53	1000
31.86	402
32.48	510
32.94	485
34.61	398
35.09	567
50.48	365

Atomic structure:
```
data_Pr5Ho4Tl2
_space_group_name_H-M_alt 'P 1'
_space_group_IT_number 1
_cell_length_a 8.9463
_cell_length_b 3.6154
_cell_length_c 11.1828
_cell_angle_alpha 90.00
_cell_angle_beta 94.27
_cell_angle_gamma 90.00
loop_
_space_group_symop_operation_xyz
'x,y,z'
loop_
_atom_site_label
_atom_site_fract_x
_atom_site_fract_y
_atom_site_fract_z
_atom_site_occupancy
Pr1 0.0000 0.0000 0.0000 1
Pr2 0.0383 0.0000 0.3353 1
Pr3 0.3037 0.0000 0.8367 1
Pr4 0.6963 0.0000 0.1633 1
Pr5 0.9617 0.0000 0.6647 1
Ho1 0.2849 0.5000 0.5547 1
Ho2 0.3442 0.5000 0.1125 1
Ho3 0.6558 0.5000 0.8875 1
Ho4 0.7151 0.5000 0.4453 1
Tl1 0.4149 0.0000 0.3455 1
Tl2 0.5851 0.0000 0.6545 1
```

# 9
For PrHo3Tl2, a cell relaxed with PBE gives the calculated powder diffraction line list in this record (Cu Kα (λ = 1.5418 Å)).
Lines closer than 0.1° are merged.

Top 10 peaks for 5° ≤ 2θ ≤ 70°, sorted by position:
Position (°2θ)	Rel. int.
29.66	186
31.43	597
31.63	216
31.86	1000
32.70	785
34.52	357
34.94	596
37.56	252
52.23	197
60.74	190

Atomic structure:
```
data_PrHo3Tl2
_space_group_name_H-M_alt 'P 1'
_space_group_IT_number 1
_cell_length_a 5.1361
_cell_length_b 10.0662
_cell_length_c 6.8388
_cell_angle_alpha 90.00
_cell_angle_beta 90.00
_cell_angle_gamma 90.00
loop_
_space_group_symop_operation_xyz
'x,y,z'
loop_
_atom_site_label
_atom_site_fract_x
_atom_site_fract_y
_atom_site_fract_z
_atom_site_occupancy
Pr1 0.0000 0.0431 0.0000 1
Pr2 0.0000 0.9569 0.5000 1
Ho1 0.0000 0.3183 0.6173 1
Ho2 0.0000 0.6817 0.1173 1
Ho3 0.5000 0.1937 0.2768 1
Ho4 0.5000 0.4554 0.9039 1
Ho5 0.5000 0.5446 0.4039 1
Ho6 0.5000 0.8063 0.7768 1
Tl1 0.0000 0.3689 0.1576 1
Tl2 0.0000 0.6311 0.6576 1
Tl3 0.5000 0.1395 0.7353 1
Tl4 0.5000 0.8605 0.2353 1
```

# 10
For Pr2HoTl9, a cell relaxed with PBE gives the calculated powder diffraction line list in this record (Cu Kα (λ = 1.5418 Å)).
Lines closer than 0.1° are merged.

Top 9 peaks for 5° ≤ 2θ ≤ 70°, sorted by position:
Position (°2θ)	Rel. int.
18.39	12
26.13	11
32.14	1000
37.28	505
41.88	7
46.09	5
53.75	357
64.02	422
67.24	122

Atomic structure:
```
data_Pr2HoTl9
_space_group_name_H-M_alt 'P 1'
_space_group_IT_number 1
_cell_length_a 4.8249
_cell_length_b 4.8249
_cell_length_c 14.4620
_cell_angle_alpha 90.00
_cell_angle_beta 90.00
_cell_angle_gamma 90.00
loop_
_space_group_symop_operation_xyz
'x,y,z'
loop_
_atom_site_label
_atom_site_fract_x
_atom_site_fract_y
_atom_site_fract_z
_atom_site_occupancy
Pr1 0.0000 0.0000 0.1687 1
Pr2 0.0000 0.0000 0.8313 1
Ho1 0.0000 0.0000 0.5000 1
Tl1 0.0000 0.5000 0.0000 1
Tl2 0.0000 0.5000 0.3379 1
Tl3 0.0000 0.5000 0.6621 1
Tl4 0.5000 0.0000 0.0000 1
Tl5 0.5000 0.0000 0.3379 1
Tl6 0.5000 0.0000 0.6621 1
Tl7 0.5000 0.5000 0.1678 1
Tl8 0.5000 0.5000 0.5000 1
Tl9 0.5000 0.5000 0.8322 1
```

# 11
For Pr3Ho2Tl4, a cell relaxed with PBE gives the calculated powder diffraction line list in this record (Cu Kα (λ = 1.5418 Å)).
Lines closer than 0.1° are merged.

Top 10 peaks for 5° ≤ 2θ ≤ 70°, sorted by position:
Position (°2θ)	Rel. int.
31.78	1000
33.07	947
46.47	236
46.62	116
55.77	130
58.23	242
58.31	120
59.03	122
66.40	109
69.43	75

Atomic structure:
```
data_Pr3Ho2Tl4
_space_group_name_H-M_alt 'P 1'
_space_group_IT_number 1
_cell_length_a 5.4149
_cell_length_b 5.4149
_cell_length_c 10.5590
_cell_angle_alpha 90.12
_cell_angle_beta 90.12
_cell_angle_gamma 60.11
loop_
_space_group_symop_operation_xyz
'x,y,z'
loop_
_atom_site_label
_atom_site_fract_x
_atom_site_fract_y
_atom_site_fract_z
_atom_site_occupancy
Pr1 0.0000 0.0000 0.0000 1
Pr2 0.3332 0.3332 0.5804 1
Pr3 0.6668 0.6668 0.4196 1
Ho1 0.3332 0.3332 0.2203 1
Ho2 0.6668 0.6668 0.7797 1
Tl1 0.0002 0.0002 0.3416 1
Tl2 0.9998 0.9998 0.6584 1
Tl3 0.3335 0.3335 0.8986 1
Tl4 0.6665 0.6665 0.1014 1
```

# 12
For PrHo4Tl4, a cell relaxed with PBE gives the calculated powder diffraction line list in this record (Cu Kα (λ = 1.5418 Å)).
Lines closer than 0.1° are merged.

Top 10 peaks for 5° ≤ 2θ ≤ 70°, sorted by position:
Position (°2θ)	Rel. int.
25.83	137
29.53	672
30.56	247
31.99	510
32.10	376
37.27	1000
43.06	136
57.63	159
61.04	209
64.37	175

Atomic structure:
```
data_PrHo4Tl4
_space_group_name_H-M_alt 'P 1'
_space_group_IT_number 1
_cell_length_a 9.5664
_cell_length_b 9.5664
_cell_length_c 5.8293
_cell_angle_alpha 90.00
_cell_angle_beta 90.00
_cell_angle_gamma 90.00
loop_
_space_group_symop_operation_xyz
'x,y,z'
loop_
_atom_site_label
_atom_site_fract_x
_atom_site_fract_y
_atom_site_fract_z
_atom_site_occupancy
Pr1 0.2500 0.2500 0.2500 1
Pr2 0.7500 0.7500 0.7500 1
Ho1 0.0967 0.8300 0.6476 1
Ho2 0.1700 0.5967 0.1476 1
Ho3 0.3300 0.9033 0.1476 1
Ho4 0.4033 0.6700 0.6476 1
Ho5 0.5967 0.3300 0.3524 1
Ho6 0.6700 0.0967 0.8524 1
Ho7 0.8300 0.4033 0.8524 1
Ho8 0.9033 0.1700 0.3524 1
Tl1 0.0365 0.1434 0.8436 1
Tl2 0.1434 0.4635 0.6564 1
Tl3 0.3566 0.0365 0.6564 1
Tl4 0.4635 0.3566 0.8436 1
Tl5 0.5365 0.6434 0.1564 1
Tl6 0.6434 0.9635 0.3436 1
Tl7 0.8566 0.5365 0.3436 1
Tl8 0.9635 0.8566 0.1564 1
```

- Which formula does entry 9 have?
  PrHo3Tl2